Diffraction record for Na3GaBi3S8. The PXRD pattern is computed, not measured: it uses a crystal structure in Alexandria, relaxed with PBE and Cu Kα X-rays.
Kinematic intensities with the Lorentz-polarization factor, no thermal factor.

Cell and atoms:
Cell: 7.8754 7.8754 8.2957 Å, 118.39 118.39 59.93°
Sites, in units of the cell vectors:
Na 0.0000 0.0000 0.0000
Na 0.0000 0.5000 0.0000
Na 0.5000 0.0000 0.0000
Ga 0.0000 0.0000 0.5000
Bi 0.0000 0.5000 0.5000
Bi 0.5000 0.0000 0.5000
Bi 0.5000 0.5000 0.5000
S 0.2207 0.2207 0.7139
S 0.2205 0.7727 0.7135
S 0.2273 0.7795 0.2865
S 0.2538 0.2538 0.2614
S 0.7462 0.7462 0.7386
S 0.7727 0.2205 0.7135
S 0.7795 0.2273 0.2865
S 0.7793 0.7793 0.2861

Top 8 peaks for 5° ≤ 2θ ≤ 70°, in order of rising 2θ:
two_theta	I/Imax
12.77	100
26.50	45
27.53	29
31.38	85
40.26	22
43.78	32
46.12	28
48.05	23